Diffraction record for ZrTlPbF7. The powder XRD pattern is theoretical, not measured: it uses the PBE geometry in OQMD and a wavelength of 1.5418 Å.
Peak positions follow from Bragg's law for the DFT cell and can differ from measured ones.

Structure:
Lattice parameters (Å, degrees): 7.0453 11.0662 8.5910 90.00 90.00 90.00
Space group Cmcm (No. 63)
Symmetry-distinct sites (fractional):
Zr1 0.0000 0.2085 0.2500
Tl1 0.0000 0.5000 0.0000
Pb1 0.0000 0.1834 0.7500
F1 0.0000 0.0261 0.2500
F2 0.0000 0.2332 0.0178
F3 0.1692 0.3677 0.2500
F4 0.2182 0.3545 0.7500

Largest 6 diffraction maxima, most intense first, 2θ from 10° to 90°:
25.6 deg, rel. 100.0; 27.3 deg, rel. 85.6; 26.3 deg, rel. 70.4; 25.3 deg, rel. 69.7; 36.8 deg, rel. 52.2; 48.0 deg, rel. 44.8

***

Diffraction record for Er2ZnCoNi. The powder XRD pattern is theoretical, not measured: it uses the PBE geometry in OQMD and a wavelength of 1.5418 Å.
Peak positions follow from Bragg's law for the DFT cell and can differ from measured ones.

Structure:
Lattice parameters (Å, degrees): 4.0948 8.0611 5.4086 90.00 90.00 90.00
Space group Imm2 (No. 44)
Symmetry-distinct sites (fractional):
Er1 0.0000 0.2042 0.0000
Zn1 0.0000 0.0000 0.4923
Co1 0.0000 0.5000 0.7213
Ni1 0.0000 0.5000 0.2710

Largest 6 diffraction maxima, most intense first, 2θ from 10° to 90°:
35.4 deg, rel. 100.0; 40.1 deg, rel. 52.2; 27.3 deg, rel. 41.1; 41.6 deg, rel. 38.4; 37.4 deg, rel. 29.1; 44.2 deg, rel. 27.5